The following is a simulated X-ray diffraction stick pattern of Dy2Mn16Mo. It was derived from a structure optimized by DFT (GGA-PBE), using Cu Kα X-rays.
No peak broadening, texture or thermal motion is included.

Cell and atoms:
a b c (Å): 6.3624 6.3624 6.3624
angles (deg): 86.21 86.21 86.21
Sites, in units of the cell vectors:
1 Dy 0.0000 0.0000 0.0000
2 Dy 0.2895 0.2895 0.2895
3 Mn 0.0038 0.0038 0.5170
4 Mn 0.0038 0.5170 0.0038
5 Mn 0.1439 0.6429 0.6429
6 Mn 0.2875 0.2875 0.7674
7 Mn 0.2875 0.7674 0.2875
8 Mn 0.3635 0.6406 0.9198
9 Mn 0.3635 0.9198 0.6406
10 Mn 0.5170 0.0038 0.0038
11 Mn 0.5390 0.5390 0.5390
12 Mn 0.6406 0.3635 0.9198
13 Mn 0.6406 0.9198 0.3635
14 Mn 0.6429 0.1439 0.6429
15 Mn 0.6429 0.6429 0.1439
16 Mn 0.7674 0.2875 0.2875
17 Mn 0.9198 0.3635 0.6406
18 Mn 0.9198 0.6406 0.3635
19 Mo 0.7425 0.7425 0.7425

The 12 most intense peaks (10 to 90 degrees two-theta), sorted by position:
- 20.43°, rel. 210
- 30.76°, rel. 409
- 32.79°, rel. 225
- 35.77°, rel. 601
- 38.94°, rel. 730
- 41.54°, rel. 1000
- 42.82°, rel. 983
- 44.36°, rel. 403
- 45.57°, rel. 264
- 61.18°, rel. 243
- 62.39°, rel. 211
- 83.61°, rel. 225